No. 1
# CeSc2Al9
Computed XRD peak list, copper Kα. Input: the PBE geometry in Alexandria.
Lines closer than 0.1° are merged.

Peak list (10 most intense, 10 to 80 degrees two-theta, in order of falling intensity)
Position (°2θ), I/Imax
37.2, 100
43.1, 33
30.2, 26
75.1, 24
21.2, 21
62.8, 20
43.3, 16
22.3, 14
25.6, 11
75.4, 11

Crystal structure
```
12
Lattice="4.1961 0.0000 0.0000 0.0000 4.1961 0.0000 0.0000 0.0000 12.5284" Properties=species:S:1:pos:R:3 pbc="T T T"
Ce 0.0000 0.0000 0.0000
Sc 0.0000 0.0000 4.2383
Sc 0.0000 0.0000 8.2901
Al 0.0000 2.0980 2.2006
Al 0.0000 2.0980 6.2642
Al 0.0000 2.0980 10.3278
Al 2.0980 0.0000 2.2006
Al 2.0980 0.0000 6.2642
Al 2.0980 0.0000 10.3278
Al 2.0980 2.0980 0.0000
Al 2.0980 2.0980 4.2196
Al 2.0980 2.0980 8.3088
```

---

No. 2
# Pm2NdY5Th
Computed XRD peak list, copper Kα. Input: the PBE geometry in Alexandria.
Lines closer than 0.1° are merged.

Peak list (10 most intense, 10 to 80 degrees two-theta, in order of falling intensity)
Position (°2θ), I/Imax
30.8, 100
28.8, 52
28.6, 43
42.9, 30
52.3, 25
37.4, 19
32.3, 17
23.3, 16
31.1, 15
55.9, 14

Crystal structure
```
18
Lattice="-4.3830 4.3830 7.7547 4.3830 -4.3830 7.7547 4.3830 4.3830 -7.7547" Properties=species:S:1:pos:R:3 pbc="T T T"
Pm 5.3974 1.0144 0.0000
Pm 1.0144 3.3686 0.0000
Pm 3.3686 1.0144 7.7547
Pm -1.0144 3.3686 7.7547
Nd 4.3830 0.0000 3.8774
Nd 0.0000 4.3830 3.8774
Y 0.0000 0.0000 0.0000
Y 2.5320 1.8510 -2.1393
Y 2.5320 -1.8510 5.6154
Y 2.5320 1.8510 2.1393
Y 2.5320 -1.8510 9.8940
Y 0.0000 0.0000 7.7547
Y 1.8510 6.2340 -2.1393
Y 1.8510 2.5320 5.6154
Y 1.8510 6.2340 2.1393
Y 1.8510 2.5320 9.8940
Th 0.0000 0.0000 3.8774
Th 0.0000 0.0000 11.6321
```

---

No. 3
# Zn5Ru
Computed XRD peak list, copper Kα. Input: the PBE geometry in Alexandria.
Lines closer than 0.1° are merged.

Peak list (10 most intense, 10 to 80 degrees two-theta, in order of falling intensity)
Position (°2θ), I/Imax
40.7, 100
46.2, 17
46.4, 17
49.3, 14
67.6, 10
69.9, 9
70.0, 9
15.0, 2
25.2, 1
27.4, 1

Crystal structure
```
12
Lattice="3.6972 0.0000 0.0000 0.0000 11.7864 0.0000 0.0000 0.0000 3.9116" Properties=species:S:1:pos:R:3 pbc="T T T"
Zn 0.0000 0.0000 0.0000
Zn 0.0000 1.9345 1.9558
Zn 0.0000 3.9526 0.0000
Zn 0.0000 7.8338 0.0000
Zn 0.0000 9.8519 1.9558
Zn 1.8486 1.9406 0.0000
Zn 1.8486 3.9587 1.9558
Zn 1.8486 5.8932 0.0000
Zn 1.8486 7.8277 1.9558
Zn 1.8486 9.8458 0.0000
Ru 0.0000 5.8932 1.9558
Ru 1.8486 0.0000 1.9558
```

---

No. 4
# CeHo3Hg4
Computed XRD peak list, copper Kα. Input: the PBE geometry in Alexandria.
Lines closer than 0.1° are merged.

Peak list (10 most intense, 10 to 80 degrees two-theta, in order of falling intensity)
Position (°2θ), I/Imax
33.7, 100
34.2, 49
60.9, 37
60.1, 19
49.1, 18
71.0, 11
47.8, 9
80.0, 8
72.0, 6
24.0, 2

Crystal structure
```
16
Lattice="10.4998 0.0000 0.0000 0.0000 7.6065 0.0000 0.0000 0.0000 5.2482" Properties=species:S:1:pos:R:3 pbc="T T T"
Ce 0.0000 0.0000 0.0000
Ce 5.2499 0.0000 0.0000
Ho 0.0000 3.8033 0.0000
Ho 2.6250 0.0000 2.6196
Ho 2.6250 3.8033 2.6201
Ho 5.2499 3.8033 0.0000
Ho 7.8749 0.0000 2.6286
Ho 7.8749 3.8033 2.6281
Hg 0.0000 1.9879 2.6241
Hg 0.0000 5.6186 2.6241
Hg 2.6250 1.9879 5.2432
Hg 2.6250 5.6186 5.2432
Hg 5.2499 1.9879 2.6241
Hg 5.2499 5.6186 2.6241
Hg 7.8749 1.9879 0.0050
Hg 7.8749 5.6186 0.0050
```

---

No. 5
# Np2Te2AuS2
Computed XRD peak list, copper Kα. Input: the PBE geometry in Alexandria.
Lines closer than 0.1° are merged.

Peak list (10 most intense, 10 to 80 degrees two-theta, in order of falling intensity)
Position (°2θ), I/Imax
24.0, 100
40.2, 46
37.1, 43
27.1, 32
43.3, 24
47.4, 17
21.5, 15
63.8, 14
55.3, 14
55.9, 13

Crystal structure
```
7
Lattice="4.4864 0.0000 0.0000 -2.2432 3.8853 0.0000 0.0000 0.0000 12.3822" Properties=species:S:1:pos:R:3 pbc="T T T"
Np 0.0000 2.5902 1.7635
Np 2.2432 1.2951 10.6187
Te 0.0000 0.0000 3.6023
Te 0.0000 0.0000 8.7798
Au 0.0000 0.0000 6.1911
S 0.0000 2.5902 11.3860
S 2.2432 1.2951 0.9961
```

---

No. 6
# SrBeNiH6
Computed XRD peak list, copper Kα. Input: the PBE geometry in Alexandria.
Lines closer than 0.1° are merged.

Peak list (10 most intense, 10 to 80 degrees two-theta, in order of falling intensity)
Position (°2θ), I/Imax
30.6, 100
41.9, 28
23.8, 25
58.2, 22
52.8, 20
69.6, 18
38.4, 11
64.7, 11
45.7, 10
76.6, 5

Crystal structure
```
9
Lattice="4.3103 0.0000 0.0000 -2.1551 3.7328 0.0000 0.0000 0.0000 4.6840" Properties=species:S:1:pos:R:3 pbc="T T T"
Sr 0.0000 0.0000 0.0000
Be 0.0000 2.4885 2.3420
Ni 2.1551 1.2443 2.3420
H -1.0726 1.8693 1.3109
H -1.0726 1.8693 3.3731
H 1.0726 1.8693 1.3109
H 1.0726 1.8693 3.3731
H 0.0000 3.7271 1.3109
H 0.0000 3.7271 3.3731
```